For CsAuI4O12, a GGA-PBE-relaxed structure gives the calculated powder diffractogram in this record (λ = 1.5418 Å (Cu Kα)).

Largest 10 diffraction maxima, most intense first, 2θ from 15° to 90°:
| 2θ/deg | d [Å] | Rel. int. |
| --- | --- | --- |
| 26.11 | 3.413 | 100 |
| 25.35 | 3.514 | 62 |
| 26.66 | 3.344 | 60 |
| 27.01 | 3.301 | 37 |
| 27.35 | 3.261 | 32 |
| 28.78 | 3.102 | 31 |
| 26.80 | 3.326 | 28 |
| 19.56 | 4.539 | 26 |
| 30.72 | 2.911 | 24 |
| 31.16 | 2.870 | 24 |

Cell and atoms:
a b c (Å): 7.597 7.800 10.724
angles (deg): 76.17 72.82 85.51
Positions (direct):
1 Cs 0.056 0.173 0.144
2 Cs 0.944 0.827 0.856
3 Au 0.423 0.950 0.791
4 Au 0.577 0.050 0.209
5 I 0.231 0.788 0.466
6 I 0.242 0.355 0.753
7 I 0.285 0.285 0.422
8 I 0.333 0.650 0.106
9 I 0.667 0.350 0.894
10 I 0.715 0.715 0.578
11 I 0.758 0.645 0.247
12 I 0.769 0.212 0.534
13 O 0.039 0.424 0.867
14 O 0.053 0.313 0.399
15 O 0.128 0.326 0.628
16 O 0.182 0.987 0.533
17 O 0.210 0.111 0.851
18 O 0.288 0.848 0.171
19 O 0.294 0.747 0.935
20 O 0.311 0.654 0.603
21 O 0.342 0.522 0.346
22 O 0.364 0.217 0.251
23 O 0.415 0.359 0.942
24 O 0.493 0.850 0.373
25 O 0.507 0.150 0.627
26 O 0.585 0.641 0.058
27 O 0.636 0.783 0.749
28 O 0.658 0.478 0.654
29 O 0.689 0.346 0.397
30 O 0.706 0.253 0.065
31 O 0.712 0.152 0.829
32 O 0.790 0.889 0.149
33 O 0.818 0.013 0.467
34 O 0.872 0.674 0.372
35 O 0.947 0.687 0.601
36 O 0.961 0.576 0.133

***

For Cs2ZrAuI6, a GGA-PBE-relaxed structure gives the calculated powder diffractogram in this record (λ = 1.5418 Å (Cu Kα)).

Largest 10 diffraction maxima, most intense first, 2θ from 15° to 90°:
| 2θ/deg | d [Å] | Rel. int. |
| --- | --- | --- |
| 29.66 | 3.012 | 100 |
| 42.44 | 2.130 | 74 |
| 25.61 | 3.478 | 60 |
| 69.82 | 1.347 | 33 |
| 50.23 | 1.816 | 26 |
| 52.63 | 1.739 | 26 |
| 20.85 | 4.260 | 26 |
| 77.65 | 1.230 | 24 |
| 33.26 | 2.694 | 14 |
| 36.54 | 2.459 | 12 |

Cell and atoms:
a b c (Å): 8.520 8.520 8.520
angles (deg): 60.00 60.00 60.00
Positions (direct):
1 Cs 0.250 0.250 0.250
2 Cs 0.750 0.750 0.750
3 Zr 0.000 0.000 0.000
4 Au 0.500 0.500 0.500
5 I 0.242 0.242 0.758
6 I 0.242 0.758 0.242
7 I 0.242 0.758 0.758
8 I 0.758 0.242 0.242
9 I 0.758 0.242 0.758
10 I 0.758 0.758 0.242

***

For CsRbInAu3, a GGA-PBE-relaxed structure gives the calculated powder diffractogram in this record (λ = 1.5418 Å (Cu Kα)).

Largest 10 diffraction maxima, most intense first, 2θ from 15° to 90°:
| 2θ/deg | d [Å] | Rel. int. |
| --- | --- | --- |
| 31.67 | 2.826 | 100 |
| 28.01 | 3.185 | 85 |
| 32.40 | 2.763 | 78 |
| 18.18 | 4.880 | 76 |
| 57.91 | 1.593 | 47 |
| 36.84 | 2.440 | 47 |
| 31.01 | 2.883 | 38 |
| 16.04 | 5.527 | 37 |
| 39.14 | 2.302 | 36 |
| 42.47 | 2.128 | 32 |

Cell and atoms:
a b c (Å): 5.767 6.931 9.158
angles (deg): 90.00 90.00 90.00
Positions (direct):
1 Cs 0.250 0.000 0.134
2 Cs 0.750 0.000 0.866
3 Rb 0.250 0.500 0.372
4 Rb 0.750 0.500 0.628
5 In 0.250 0.000 0.575
6 In 0.750 0.000 0.425
7 Au 0.000 0.500 0.000
8 Au 0.250 0.293 0.777
9 Au 0.250 0.707 0.777
10 Au 0.500 0.500 0.000
11 Au 0.750 0.293 0.223
12 Au 0.750 0.707 0.223

***

For CsRbInAu3, a GGA-PBE-relaxed structure gives the calculated powder diffractogram in this record (λ = 1.5418 Å (Cu Kα)).

Largest 10 diffraction maxima, most intense first, 2θ from 15° to 90°:
| 2θ/deg | d [Å] | Rel. int. |
| --- | --- | --- |
| 31.72 | 2.821 | 100 |
| 27.92 | 3.196 | 86 |
| 32.38 | 2.765 | 76 |
| 18.13 | 4.892 | 74 |
| 36.74 | 2.446 | 43 |
| 57.70 | 1.598 | 42 |
| 41.98 | 2.152 | 39 |
| 31.01 | 2.884 | 37 |
| 16.03 | 5.530 | 36 |
| 39.06 | 2.306 | 35 |

Cell and atoms:
a b c (Å): 5.767 6.905 9.236
angles (deg): 90.00 90.00 90.00
Positions (direct):
1 Cs 0.250 0.000 0.128
2 Cs 0.750 0.000 0.872
3 Rb 0.250 0.500 0.367
4 Rb 0.750 0.500 0.633
5 In 0.250 0.500 0.920
6 In 0.750 0.500 0.080
7 Au 0.000 0.000 0.500
8 Au 0.250 0.214 0.714
9 Au 0.250 0.786 0.714
10 Au 0.500 0.000 0.500
11 Au 0.750 0.214 0.286
12 Au 0.750 0.786 0.286

***

What did the second record say?
For Cs2ZrAuI6, a GGA-PBE-relaxed structure gives the calculated powder diffractogram in this record (λ = 1.5418 Å (Cu Kα)).

Largest 10 diffraction maxima, most intense first, 2θ from 15° to 90°:
| 2θ/deg | d [Å] | Rel. int. |
| --- | --- | --- |
| 29.66 | 3.012 | 100 |
| 42.44 | 2.130 | 74 |
| 25.61 | 3.478 | 60 |
| 69.82 | 1.347 | 33 |
| 50.23 | 1.816 | 26 |
| 52.63 | 1.739 | 26 |
| 20.85 | 4.260 | 26 |
| 77.65 | 1.230 | 24 |
| 33.26 | 2.694 | 14 |
| 36.54 | 2.459 | 12 |

Cell and atoms:
a b c (Å): 8.520 8.520 8.520
angles (deg): 60.00 60.00 60.00
Positions (direct):
1 Cs 0.250 0.250 0.250
2 Cs 0.750 0.750 0.750
3 Zr 0.000 0.000 0.000
4 Au 0.500 0.500 0.500
5 I 0.242 0.242 0.758
6 I 0.242 0.758 0.242
7 I 0.242 0.758 0.758
8 I 0.758 0.242 0.242
9 I 0.758 0.242 0.758
10 I 0.758 0.758 0.242